Record 1
Theoretical XRD peak list
Compound: Ba5Cd2Rh2
Radiation: CuKα
Structure: the PBE geometry in Alexandria
Kinematic intensities with the Lorentz-polarization factor, no thermal factor.

Peak list (6 most intense, 2θ from 10° to 90°, by intensity)
2θ/deg	Rel. int.
30.52	100
34.03	97
28.21	84
30.69	63
26.08	63
28.74	58

Cell and atoms:
Cell lengths 7.3339, 9.9820, 10.5421 Å; angles 106.90, 110.34, 90.01 degrees
Fractional positions:
Ba 0.0000 0.0000 0.0000
Ba 0.0065 0.3944 0.4098
Ba 0.1103 0.8851 0.6166
Ba 0.1281 0.6373 0.2087
Ba 0.4328 0.6421 0.8176
Ba 0.4968 0.3272 0.4232
Ba 0.5133 0.2797 0.0259
Ba 0.5870 0.9521 0.6028
Ba 0.6160 0.9448 0.2111
Ba 0.9187 0.3351 0.8150
Cd 0.1437 0.0330 0.3583
Cd 0.2990 0.2464 0.6677
Cd 0.6469 0.6344 0.3436
Cd 0.8168 0.6448 0.6823
Rh 0.1282 0.3185 0.1246
Rh 0.4210 0.6399 0.5133
Rh 0.5169 0.9611 0.9014
Rh 0.9065 0.1397 0.5133

=====

Record 2
Theoretical XRD peak list
Compound: TbTc5P3
Radiation: CuKα
Structure: the PBE geometry in Alexandria
Kinematic intensities with the Lorentz-polarization factor, no thermal factor.

Peak list (6 most intense, 2θ from 10° to 90°, by intensity)
2θ/deg	Rel. int.
33.22	100
30.83	79
39.33	78
45.62	60
34.65	49
42.19	38

Cell and atoms:
Cell lengths 6.6600, 6.6600, 11.4952 Å; angles 90.00, 90.00, 145.26 degrees
Fractional positions:
Tb 0.1751 0.8249 0.7500
Tb 0.8249 0.1751 0.2500
Tc 0.0000 0.0000 0.0000
Tc 0.0000 0.0000 0.5000
Tc 0.1937 0.8063 0.0631
Tc 0.1937 0.8063 0.4369
Tc 0.4588 0.5412 0.6464
Tc 0.4588 0.5412 0.8536
Tc 0.5412 0.4588 0.1464
Tc 0.5412 0.4588 0.3536
Tc 0.8063 0.1937 0.5631
Tc 0.8063 0.1937 0.9369
P 0.1289 0.8711 0.2500
P 0.3735 0.6265 0.0515
P 0.3735 0.6265 0.4485
P 0.6265 0.3735 0.5515
P 0.6265 0.3735 0.9485
P 0.8711 0.1289 0.7500

=====

Record 3
Theoretical XRD peak list
Compound: Mn2TlGa2
Radiation: CuKα
Structure: the PBE geometry in Alexandria
Kinematic intensities with the Lorentz-polarization factor, no thermal factor.

Peak list (6 most intense, 2θ from 10° to 90°, by intensity)
2θ/deg	Rel. int.
41.51	100
40.40	71
33.18	64
38.12	56
72.69	37
18.24	32

Cell and atoms:
Cell lengths 6.8788, 6.8788, 3.2458 Å; angles 90.00, 90.00, 90.00 degrees
Fractional positions:
Mn 0.1371 0.3629 0.0000
Mn 0.3629 0.8629 0.0000
Mn 0.6371 0.1371 0.0000
Mn 0.8629 0.6371 0.0000
Tl 0.0000 0.0000 0.0000
Tl 0.5000 0.5000 0.0000
Ga 0.1501 0.6501 0.5000
Ga 0.3499 0.1501 0.5000
Ga 0.6501 0.8499 0.5000
Ga 0.8499 0.3499 0.5000

=====

Record 4
Theoretical XRD peak list
Compound: SrB12
Radiation: CuKα
Structure: the PBE geometry in Alexandria
Kinematic intensities with the Lorentz-polarization factor, no thermal factor.

Peak list (6 most intense, 2θ from 10° to 90°, by intensity)
2θ/deg	Rel. int.
39.25	100
23.37	61
20.20	52
41.07	30
73.61	29
59.48	28

Cell and atoms:
Cell lengths 5.3832, 5.3832, 5.3832 Å; angles 60.00, 60.00, 60.00 degrees
Fractional positions:
Sr 0.0000 0.0000 0.0000
B 0.1650 0.5000 0.5000
B 0.1650 0.5000 0.8350
B 0.1650 0.8350 0.5000
B 0.5000 0.1650 0.5000
B 0.5000 0.1650 0.8350
B 0.5000 0.5000 0.1650
B 0.5000 0.5000 0.8350
B 0.5000 0.8350 0.1650
B 0.5000 0.8350 0.5000
B 0.8350 0.1650 0.5000
B 0.8350 0.5000 0.1650
B 0.8350 0.5000 0.5000

=====

Record 5
Theoretical XRD peak list
Compound: DyY8
Radiation: CuKα
Structure: the PBE geometry in Alexandria
Kinematic intensities with the Lorentz-polarization factor, no thermal factor.

Peak list (6 most intense, 2θ from 10° to 90°, by intensity)
2θ/deg	Rel. int.
30.69	100
35.58	50
60.89	41
51.21	35
83.51	16
63.91	12

Cell and atoms:
Cell lengths 7.9816, 7.9816, 7.9816 Å; angles 95.72, 95.72, 143.19 degrees
Fractional positions:
Dy 0.0000 0.0000 0.0000
Y 0.0000 0.3329 0.3329
Y 0.0000 0.6671 0.6671
Y 0.3329 0.0000 0.3329
Y 0.3338 0.3338 0.6676
Y 0.3338 0.6662 0.0000
Y 0.6662 0.3338 0.0000
Y 0.6662 0.6662 0.3324
Y 0.6671 0.0000 0.6671

=====

Record 6
Theoretical XRD peak list
Compound: PmNd2Dy
Radiation: CuKα
Structure: the PBE geometry in Alexandria
Kinematic intensities with the Lorentz-polarization factor, no thermal factor.

Peak list (6 most intense, 2θ from 10° to 90°, by intensity)
2θ/deg	Rel. int.
30.09	100
34.89	51
50.16	36
59.58	29
59.69	14
62.56	12

Cell and atoms:
Cell lengths 5.1478, 5.1478, 5.1355 Å; angles 90.00, 90.00, 90.00 degrees
Fractional positions:
Pm 0.0000 0.0000 0.0000
Nd 0.0000 0.5000 0.5000
Nd 0.5000 0.0000 0.5000
Dy 0.5000 0.5000 0.0000

=====

> What is the formula in the third record?

Mn2TlGa2